Theoretical X-ray diffraction stick pattern of InGeAu for Cu Kα, 1.54184 Å, from the GGA-PBE geometry in Alexandria.
Kinematic intensities with the Lorentz-polarization factor, no thermal factor.

The 10 most intense peaks (10° ≤ 2θ ≤ 90°), sorted by position:
2θ/deg, I/Imax, hkl
23.1, 48, 1 1 0
24.5, 50, 1 1 -1
28.0, 37, 0 0 2
37.4, 100, 3 1 -2
37.6, 55, 3 1 0
40.3, 44, 1 1 2
41.7, 34, 4 0 0
42.1, 45, 0 2 0
44.3, 26, 1 1 -3
60.8, 22, 4 2 0

Cell and atoms:
Cell: 9.7614 4.2889 7.1740 Å, 90.00 117.49 90.00°
Space group C2/m (No. 12)
One atom of each set of equivalent atoms:
In: 0.1568 0.0000 0.3027
Ge: 0.1097 0.5000 0.9284
Au: 0.1408 0.0000 0.7006